For Cd2TcO4, a structure optimized by DFT (PBE) gives the simulated PXRD pattern in this record (Cu Kα (weighted mean of Kα1 and Kα2)).

Largest 8 diffraction maxima, by angle, 2θ = 10–90°:
| d [Å] | 2θ/deg | I_rel |
| --- | --- | --- |
| 6.013 | 14.73 | 90 |
| 4.252 | 20.89 | 38 |
| 3.378 | 26.38 | 82 |
| 3.006 | 29.72 | 81 |
| 2.246 | 40.15 | 100 |
| 2.126 | 42.52 | 55 |
| 1.799 | 50.74 | 52 |
| 1.473 | 63.14 | 33 |

Structural model:
a b c (Å): 6.0129 6.0129 3.3782
angles (deg): 90.00 90.00 90.00
Positions (direct):
1 Cd 0.0000 0.5000 0.0000
2 Cd 0.5000 0.0000 0.0000
3 Tc 0.0000 0.0000 0.0000
4 O 0.2002 0.2002 0.2389
5 O 0.2002 0.7998 0.7611
6 O 0.7998 0.2002 0.7611
7 O 0.7998 0.7998 0.2389



For PrSn2F6, a structure optimized by DFT (PBE) gives the simulated PXRD pattern in this record (Cu Kα (weighted mean of Kα1 and Kα2)).

Largest 8 diffraction maxima, by angle, 2θ = 10–90°:
| d [Å] | 2θ/deg | I_rel |
| --- | --- | --- |
| 3.578 | 24.89 | 67 |
| 3.055 | 29.23 | 100 |
| 2.703 | 33.15 | 45 |
| 2.113 | 42.79 | 57 |
| 1.911 | 47.58 | 34 |
| 1.852 | 49.20 | 31 |
| 1.796 | 50.85 | 33 |
| 1.620 | 56.82 | 33 |

Structural model:
a b c (Å): 3.8222 3.8222 10.1716
angles (deg): 90.00 90.00 90.00
Positions (direct):
1 Pr 0.0000 0.0000 0.0000
2 Sn 0.5000 0.5000 0.2926
3 Sn 0.5000 0.5000 0.7074
4 F 0.0000 0.5000 0.1512
5 F 0.0000 0.5000 0.8488
6 F 0.5000 0.0000 0.1512
7 F 0.5000 0.0000 0.8488
8 F 0.5000 0.5000 0.0000
9 F 0.5000 0.5000 0.5000



For Gd3Al19Ni5, a structure optimized by DFT (PBE) gives the simulated PXRD pattern in this record (Cu Kα (weighted mean of Kα1 and Kα2)).

Largest 8 diffraction maxima, by angle, 2θ = 10–90°:
| d [Å] | 2θ/deg | I_rel |
| --- | --- | --- |
| 5.987 | 14.80 | 40 |
| 3.922 | 22.67 | 56 |
| 3.419 | 26.06 | 34 |
| 2.925 | 30.56 | 73 |
| 2.507 | 35.81 | 41 |
| 2.397 | 37.52 | 100 |
| 2.284 | 39.46 | 41 |
| 2.043 | 44.33 | 59 |

Structural model:
a b c (Å): 8.2500 8.2500 27.1050
angles (deg): 90.00 90.00 151.32
Positions (direct):
1 Gd 0.1130 0.8870 0.7500
2 Gd 0.3335 0.6665 0.6353
3 Gd 0.3335 0.6665 0.8647
4 Gd 0.6665 0.3335 0.1353
5 Gd 0.6665 0.3335 0.3647
6 Gd 0.8870 0.1130 0.2500
7 Al 0.0365 0.9635 0.1008
8 Al 0.0365 0.9635 0.3992
9 Al 0.0786 0.9214 0.2018
10 Al 0.0786 0.9214 0.2982
11 Al 0.0945 0.9055 0.5371
12 Al 0.0945 0.9055 0.9629
13 Al 0.1302 0.8698 0.6352
14 Al 0.1302 0.8698 0.8648
15 Al 0.2651 0.7349 0.5287
16 Al 0.2651 0.7349 0.9713
17 Al 0.2759 0.7241 0.1935
18 Al 0.2759 0.7241 0.3065
19 Al 0.2912 0.7088 0.0884
20 Al 0.2912 0.7088 0.4116
21 Al 0.3068 0.6932 0.7500
22 Al 0.4326 0.5674 0.5308
23 Al 0.4326 0.5674 0.9692
24 Al 0.4643 0.5357 0.1741
25 Al 0.4643 0.5357 0.3259
26 Al 0.5357 0.4643 0.6741
27 Al 0.5357 0.4643 0.8259
28 Al 0.5674 0.4326 0.0308
29 Al 0.5674 0.4326 0.4692
30 Al 0.6932 0.3068 0.2500
31 Al 0.7088 0.2912 0.5884
32 Al 0.7088 0.2912 0.9116
33 Al 0.7241 0.2759 0.6935
34 Al 0.7241 0.2759 0.8065
35 Al 0.7349 0.2651 0.0287
36 Al 0.7349 0.2651 0.4713
37 Al 0.8698 0.1302 0.1352
38 Al 0.8698 0.1302 0.3648
39 Al 0.9055 0.0945 0.0371
40 Al 0.9055 0.0945 0.4629
41 Al 0.9214 0.0786 0.7018
42 Al 0.9214 0.0786 0.7982
43 Al 0.9635 0.0365 0.6008
44 Al 0.9635 0.0365 0.8992
45 Ni 0.1588 0.8412 0.0423
46 Ni 0.1588 0.8412 0.4577
47 Ni 0.4463 0.5537 0.0843
48 Ni 0.4463 0.5537 0.4157
49 Ni 0.4550 0.5450 0.7500
50 Ni 0.5450 0.4550 0.2500
51 Ni 0.5537 0.4463 0.5843
52 Ni 0.5537 0.4463 0.9157
53 Ni 0.8412 0.1588 0.5423
54 Ni 0.8412 0.1588 0.9577



For GdScNi4, a structure optimized by DFT (PBE) gives the simulated PXRD pattern in this record (Cu Kα (weighted mean of Kα1 and Kα2)).

Largest 8 diffraction maxima, by angle, 2θ = 10–90°:
| d [Å] | 2θ/deg | I_rel |
| --- | --- | --- |
| 4.059 | 21.90 | 14 |
| 3.515 | 25.34 | 16 |
| 2.486 | 36.14 | 40 |
| 2.120 | 42.66 | 100 |
| 2.029 | 44.65 | 29 |
| 1.435 | 64.99 | 14 |
| 1.353 | 69.47 | 30 |
| 1.243 | 76.68 | 21 |

Structural model:
a b c (Å): 4.9710 4.9710 4.9710
angles (deg): 60.00 60.00 60.00
Positions (direct):
1 Gd 0.0000 0.0000 0.0000
2 Sc 0.7500 0.7500 0.7500
3 Ni 0.3756 0.3756 0.3756
4 Ni 0.3756 0.3756 0.8731
5 Ni 0.3756 0.8731 0.3756
6 Ni 0.8731 0.3756 0.3756



For CuOs3Pb5, a structure optimized by DFT (PBE) gives the simulated PXRD pattern in this record (Cu Kα (weighted mean of Kα1 and Kα2)).

Largest 8 diffraction maxima, by angle, 2θ = 10–90°:
| d [Å] | 2θ/deg | I_rel |
| --- | --- | --- |
| 8.442 | 10.48 | 74 |
| 4.795 | 18.50 | 32 |
| 3.168 | 28.17 | 42 |
| 2.814 | 31.80 | 50 |
| 2.769 | 32.34 | 67 |
| 2.315 | 38.90 | 34 |
| 2.306 | 39.05 | 65 |
| 2.085 | 43.41 | 100 |

Structural model:
a b c (Å): 5.5370 5.5370 8.4417
angles (deg): 90.00 90.00 120.00
Positions (direct):
1 Cu 0.0000 0.0000 0.0000
2 Os 0.0000 0.5000 0.5000
3 Os 0.5000 0.0000 0.5000
4 Os 0.5000 0.5000 0.5000
5 Pb 0.0000 0.0000 0.5000
6 Pb 0.3333 0.6667 0.2023
7 Pb 0.3333 0.6667 0.7977
8 Pb 0.6667 0.3333 0.2023
9 Pb 0.6667 0.3333 0.7977



For Pr4AlNi2Ge4, a structure optimized by DFT (PBE) gives the simulated PXRD pattern in this record (Cu Kα (weighted mean of Kα1 and Kα2)).

Largest 8 diffraction maxima, by angle, 2θ = 10–90°:
| d [Å] | 2θ/deg | I_rel |
| --- | --- | --- |
| 2.767 | 32.36 | 86 |
| 2.658 | 33.71 | 100 |
| 2.557 | 35.09 | 50 |
| 2.548 | 35.23 | 66 |
| 2.491 | 36.05 | 34 |
| 2.417 | 37.19 | 23 |
| 2.279 | 39.53 | 30 |
| 2.186 | 41.31 | 56 |

Structural model:
a b c (Å): 8.2587 8.2587 7.1853
angles (deg): 107.22 107.22 30.69
Positions (direct):
1 Pr 0.0902 0.0902 0.3825
2 Pr 0.1535 0.1535 0.9429
3 Pr 0.8465 0.8465 0.0571
4 Pr 0.9098 0.9098 0.6175
5 Al 0.5000 0.5000 0.0000
6 Ni 0.2868 0.2868 0.3512
7 Ni 0.7132 0.7132 0.6488
8 Ge 0.2890 0.2890 0.7094
9 Ge 0.4372 0.4372 0.3356
10 Ge 0.5628 0.5628 0.6644
11 Ge 0.7110 0.7110 0.2906



For LaEr2S3, a structure optimized by DFT (PBE) gives the simulated PXRD pattern in this record (Cu Kα (weighted mean of Kα1 and Kα2)).

Largest 8 diffraction maxima, by angle, 2θ = 10–90°:
| d [Å] | 2θ/deg | I_rel |
| --- | --- | --- |
| 3.286 | 27.13 | 21 |
| 3.210 | 27.79 | 60 |
| 2.796 | 32.01 | 100 |
| 1.995 | 45.47 | 36 |
| 1.960 | 46.31 | 35 |
| 1.684 | 54.50 | 20 |
| 1.605 | 57.40 | 18 |
| 1.242 | 76.74 | 16 |

Structural model:
a b c (Å): 3.9208 3.9208 9.8589
angles (deg): 90.00 90.00 120.00
Positions (direct):
1 La 0.0000 0.0000 0.0000
2 Er 0.3333 0.6667 0.6612
3 Er 0.6667 0.3333 0.3388
4 S 0.0000 0.0000 0.5000
5 S 0.3333 0.6667 0.1879
6 S 0.6667 0.3333 0.8121



For TmZr2Al3NiAg2, a structure optimized by DFT (PBE) gives the simulated PXRD pattern in this record (Cu Kα (weighted mean of Kα1 and Kα2)).

Largest 8 diffraction maxima, by angle, 2θ = 10–90°:
| d [Å] | 2θ/deg | I_rel |
| --- | --- | --- |
| 5.994 | 14.78 | 31 |
| 2.636 | 34.01 | 44 |
| 2.624 | 34.17 | 100 |
| 2.410 | 37.31 | 54 |
| 2.398 | 37.51 | 33 |
| 2.027 | 44.71 | 31 |
| 1.998 | 45.39 | 29 |
| 1.982 | 45.78 | 31 |

Structural model:
a b c (Å): 4.0541 6.8862 6.8862
angles (deg): 119.48 90.00 90.00
Positions (direct):
1 Tm 0.0000 0.0000 0.0000
2 Zr 0.0000 0.2135 0.6044
3 Zr 0.0000 0.6044 0.2135
4 Al 0.5000 0.3738 0.3738
5 Al 0.5000 0.5969 0.8337
6 Al 0.5000 0.8337 0.5969
7 Ni 0.0000 0.5969 0.5969
8 Ag 0.5000 0.2713 0.9364
9 Ag 0.5000 0.9364 0.2713



For Hg, a structure optimized by DFT (PBE) gives the simulated PXRD pattern in this record (Cu Kα (weighted mean of Kα1 and Kα2)).

Largest 8 diffraction maxima, by angle, 2θ = 10–90°:
| d [Å] | 2θ/deg | I_rel |
| --- | --- | --- |
| 3.089 | 28.91 | 33 |
| 2.763 | 32.41 | 100 |
| 2.522 | 35.60 | 78 |
| 1.713 | 53.48 | 25 |
| 1.651 | 55.67 | 44 |
| 1.544 | 59.89 | 18 |
| 1.348 | 69.76 | 23 |
| 1.147 | 84.45 | 21 |

Structural model:
a b c (Å): 6.1774 6.1774 6.1774
angles (deg): 90.00 90.00 90.00
Positions (direct):
1 Hg 0.0000 0.0000 0.0000
2 Hg 0.0000 0.2500 0.5000
3 Hg 0.0000 0.7500 0.5000
4 Hg 0.2500 0.5000 0.0000
5 Hg 0.5000 0.0000 0.2500
6 Hg 0.5000 0.0000 0.7500
7 Hg 0.5000 0.5000 0.5000
8 Hg 0.7500 0.5000 0.0000